Diffraction record for Ba2Tm2TeSeO2. The PXRD pattern is computed, not measured: it uses a cell relaxed with PBE and Cu Kα X-rays.
No peak broadening, texture or thermal motion is included.

a = 4.3420 Å, b = 4.3420 Å, c = 13.8595 Å
α = 90.00°, β = 90.00°, γ = 120.00°
Sites, in units of the cell vectors:
Ba 0.0000 0.0000 0.0000
Ba 0.3333 0.6667 0.4776
Tm 0.6667 0.3333 0.2145
Tm 0.6667 0.3333 0.6949
Te 0.3333 0.6667 0.8178
Se 0.0000 0.0000 0.3115
O 0.6667 0.3333 0.0696
O 0.6667 0.3333 0.5490

Largest 10 diffraction maxima, by angle, 10 to 90 degrees two-theta:
2θ/deg, d [Å], I (rel.)
24.53, 3.629, 31
25.71, 3.465, 15
26.98, 3.305, 100
30.66, 2.916, 63
35.22, 2.548, 29
41.60, 2.171, 57
46.12, 1.968, 28
49.55, 1.840, 15
50.28, 1.815, 18
67.24, 1.392, 15